# PaAs2
Computed powder X-ray diffraction pattern, CuKα. Input: a crystal structure in Alexandria, relaxed with GGA-PBE.
Intensities are scaled so that the largest is 100.

The 10 most intense peaks (2θ from 10° to 90°), in order of rising 2θ:
| index | 2θ (°) | I/Imax |
| --- | --- | --- |
| 0 0 4 | 22.10 | 25 |
| 1 0 1 | 22.71 | 54 |
| 1 0 3 | 27.66 | 34 |
| 1 1 0 | 31.33 | 48 |
| 1 1 2 | 33.30 | 41 |
| 1 0 5 | 35.68 | 33 |
| 1 1 4 | 38.68 | 100 |
| 2 0 0 | 44.90 | 51 |
| 1 0 7 | 45.41 | 35 |
| 3 1 4 | 78.61 | 26 |

Structural model:
```
data_PaAs2
_chemical_formula_sum 'Pa4 As8'
_cell_length_a 4.038
_cell_length_b 4.038
_cell_length_c 16.086
_cell_angle_alpha 90.00
_cell_angle_beta 90.00
_cell_angle_gamma 90.00
_space_group_name_H-M_alt 'I 4/m m m'
_space_group_IT_number 139
_space_group_name_Hall '-I 4 2'
loop_
_atom_site_label
_atom_site_type_symbol
_atom_site_fract_x
_atom_site_fract_y
_atom_site_fract_z
_atom_site_occupancy
Pa1 Pa 0.000 0.000 0.137 1
As1 As 0.000 0.000 0.319 1
As2 As 0.000 0.500 0.000 1
```

# Sm8PPt3I4
Computed powder X-ray diffraction pattern, CuKα. Input: a crystal structure in Alexandria, relaxed with GGA-PBE.
Intensities are scaled so that the largest is 100.

The 10 most intense peaks (2θ from 10° to 90°), in order of rising 2θ:
| index | 2θ (°) | I/Imax |
| --- | --- | --- |
| 0 0 3 | 11.28 | 19 |
| 0 2 4 | 28.58 | 100 |
| 0 2 7 | 36.17 | 13 |
| 2 0 8 | 39.19 | 27 |
| 2 2 0 | 42.49 | 40 |
| 2 0 11 | 49.25 | 8 |
| 4 0 4 | 52.01 | 19 |
| 0 4 8 | 59.17 | 8 |
| 2 4 4 | 69.33 | 16 |
| 4 2 8 | 75.52 | 8 |

Structural model:
```
data_Sm8PPt3I4
_chemical_formula_sum 'Sm24 P3 Pt9 I12'
_cell_length_a 8.5106
_cell_length_b 8.5106
_cell_length_c 23.5325
_cell_angle_alpha 90.00
_cell_angle_beta 90.00
_cell_angle_gamma 120.00
_space_group_name_H-M_alt 'R -3 m'
_space_group_IT_number 166
_space_group_name_Hall '-R 3 2"'
loop_
_atom_site_label
_atom_site_type_symbol
_atom_site_fract_x
_atom_site_fract_y
_atom_site_fract_z
_atom_site_occupancy
Sm1 Sm 0.0000 0.0000 0.2280 1
Sm2 Sm 0.0040 0.5020 0.7709 1
P1 P 0.0000 0.0000 0.5000 1
Pt1 Pt 0.0000 0.5000 0.5000 1
I1 I 0.0000 0.0000 0.0000 1
I2 I 0.0000 0.5000 0.0000 1
```

# Cs2HfIn
Computed powder X-ray diffraction pattern, CuKα. Input: a crystal structure in Alexandria, relaxed with GGA-PBE.
Intensities are scaled so that the largest is 100.

The 10 most intense peaks (2θ from 10° to 90°), in order of rising 2θ:
| index | 2θ (°) | I/Imax |
| --- | --- | --- |
| 1 1 1 | 17.45 | 2 |
| 2 2 0 | 28.68 | 100 |
| 3 1 1 | 33.77 | 1 |
| 4 0 0 | 41.01 | 19 |
| 4 2 2 | 50.82 | 40 |
| 4 4 0 | 59.40 | 13 |
| 6 2 0 | 67.27 | 17 |
| 4 4 4 | 74.71 | 4 |
| 6 4 2 | 81.90 | 20 |
| 8 0 0 | 88.96 | 2 |

Structural model:
```
data_Cs2HfIn
_chemical_formula_sum 'Cs8 Hf4 In4'
_cell_length_a 8.802
_cell_length_b 8.802
_cell_length_c 8.802
_cell_angle_alpha 90.00
_cell_angle_beta 90.00
_cell_angle_gamma 90.00
_space_group_name_H-M_alt 'F m -3 m'
_space_group_IT_number 225
_space_group_name_Hall '-F 4 2 3'
loop_
_atom_site_label
_atom_site_type_symbol
_atom_site_fract_x
_atom_site_fract_y
_atom_site_fract_z
_atom_site_occupancy
Cs1 Cs 0.250 0.250 0.250 1
Hf1 Hf 0.000 0.000 0.000 1
In1 In 0.000 0.000 0.500 1
```

# Rb2Li2SmI6
Computed powder X-ray diffraction pattern, CuKα. Input: a crystal structure in Alexandria, relaxed with GGA-PBE.
Intensities are scaled so that the largest is 100.

The 10 most intense peaks (2θ from 10° to 90°), in order of rising 2θ:
| index | 2θ (°) | I/Imax |
| --- | --- | --- |
| 1 1 0 | 12.18 | 41 |
| 1 1 -2 | 22.81 | 61 |
| 0 2 1 | 23.17 | 33 |
| 2 2 0 | 24.50 | 85 |
| 4 0 -1 | 24.90 | 69 |
| 2 2 -2 | 29.20 | 100 |
| 0 2 2 | 30.30 | 34 |
| 4 2 1 | 39.68 | 27 |
| 0 4 0 | 41.25 | 27 |
| 4 4 -1 | 48.78 | 29 |

Structural model:
```
data_Rb2Li2SmI6
_chemical_formula_sum 'Rb4 Li4 Sm2 I12'
_cell_length_a 14.304
_cell_length_b 8.754
_cell_length_c 8.769
_cell_angle_alpha 90.00
_cell_angle_beta 114.37
_cell_angle_gamma 90.00
_space_group_name_H-M_alt 'C 1 2/m 1'
_space_group_IT_number 12
_space_group_name_Hall '-C 2y'
loop_
_atom_site_label
_atom_site_type_symbol
_atom_site_fract_x
_atom_site_fract_y
_atom_site_fract_z
_atom_site_occupancy
Rb1 Rb 0.202 0.000 0.168 1
Li1 Li 0.059 0.500 0.269 1
Sm1 Sm 0.000 0.000 0.500 1
I1 I 0.058 0.249 0.790 1
I2 I 0.240 0.000 0.604 1
```

# ReMo14W
Computed powder X-ray diffraction pattern, CuKα. Input: a crystal structure in Alexandria, relaxed with GGA-PBE.
Intensities are scaled so that the largest is 100.

The 10 most intense peaks (2θ from 10° to 90°), in order of rising 2θ:
| index | 2θ (°) | I/Imax |
| --- | --- | --- |
| 0 0 4 | 40.21 | 25 |
| 2 2 2 | 40.34 | 100 |
| 0 4 0 | 40.45 | 25 |
| 4 0 0 | 58.36 | 25 |
| 2 2 6 | 73.16 | 17 |
| 4 0 4 | 73.26 | 8 |
| 4 4 0 | 73.47 | 25 |
| 0 0 8 | 86.85 | 3 |
| 4 4 4 | 87.19 | 11 |
| 0 8 0 | 87.48 | 3 |

Structural model:
```
data_ReMo14W
_chemical_formula_sum 'Re2 Mo28 W2'
_cell_length_a 6.323
_cell_length_b 8.920
_cell_length_c 8.972
_cell_angle_alpha 90.00
_cell_angle_beta 90.00
_cell_angle_gamma 90.00
_space_group_name_H-M_alt 'C m m m'
_space_group_IT_number 65
_space_group_name_Hall '-C 2 2'
loop_
_atom_site_label
_atom_site_type_symbol
_atom_site_fract_x
_atom_site_fract_y
_atom_site_fract_z
_atom_site_occupancy
Re1 Re 0.000 0.000 0.000 1
Mo1 Mo 0.000 0.000 0.500 1
Mo2 Mo 0.000 0.250 0.250 1
Mo3 Mo 0.000 0.500 0.500 1
Mo4 Mo 0.250 0.000 0.250 1
Mo5 Mo 0.250 0.250 0.000 1
Mo6 Mo 0.250 0.250 0.500 1
W1 W 0.000 0.500 0.000 1
```

# Tb3PrMg8
Computed powder X-ray diffraction pattern, CuKα. Input: a crystal structure in Alexandria, relaxed with GGA-PBE.
Intensities are scaled so that the largest is 100.

The 10 most intense peaks (2θ from 10° to 90°), in order of rising 2θ:
| index | 2θ (°) | I/Imax |
| --- | --- | --- |
| 1 0 0 | 16.78 | 43 |
| 0 0 2 | 18.01 | 23 |
| 1 0 1 | 19.06 | 31 |
| 0 1 2 | 24.71 | 22 |
| 1 1 0 | 29.28 | 81 |
| 1 0 3 | 32.10 | 100 |
| 1 1 2 | 34.59 | 77 |
| 0 2 1 | 35.17 | 31 |
| 2 1 3 | 53.73 | 45 |
| 0 2 5 | 58.45 | 23 |

Structural model:
```
data_Tb3PrMg8
_chemical_formula_sum 'Tb3 Pr1 Mg8'
_cell_length_a 6.1008
_cell_length_b 6.1008
_cell_length_c 9.8485
_cell_angle_alpha 90.00
_cell_angle_beta 90.00
_cell_angle_gamma 120.00
_space_group_name_H-M_alt 'P 3 m 1'
_space_group_IT_number 156
_space_group_name_Hall 'P 3 -2"'
loop_
_atom_site_label
_atom_site_type_symbol
_atom_site_fract_x
_atom_site_fract_y
_atom_site_fract_z
_atom_site_occupancy
Tb1 Tb 0.0000 0.0000 0.0000 1
Tb2 Tb 0.0000 0.0000 0.3690 1
Tb3 Tb 0.3333 0.6667 0.8764 1
Pr1 Pr 0.3333 0.6667 0.5025 1
Mg1 Mg 0.0070 0.5035 0.1855 1
Mg2 Mg 0.3247 0.1624 0.6888 1
Mg3 Mg 0.6667 0.3333 0.4371 1
Mg4 Mg 0.6667 0.3333 0.9371 1
```

# CdSiTeMoHW
Computed powder X-ray diffraction pattern, CuKα. Input: a crystal structure in Alexandria, relaxed with GGA-PBE.
Intensities are scaled so that the largest is 100.

The 10 most intense peaks (2θ from 10° to 90°), in order of rising 2θ:
| index | 2θ (°) | I/Imax |
| --- | --- | --- |
| 0 0 2 | 17.78 | 24 |
| 1 0 0 | 28.62 | 67 |
| 0 1 1 | 28.82 | 75 |
| 0 0 4 | 36.01 | 40 |
| 1 0 2 | 36.27 | 32 |
| 0 1 3 | 38.68 | 91 |
| -1 1 1 | 40.01 | 100 |
| 1 0 -4 | 42.73 | 54 |
| 1 1 3 | 51.47 | 20 |
| 2 1 2 | 72.29 | 27 |

Structural model:
```
data_CdSiTeMoHW
_chemical_formula_sum 'Cd1 Si1 Te1 Mo1 H1 W1'
_cell_length_a 3.158
_cell_length_b 3.259
_cell_length_c 10.100
_cell_angle_alpha 90.11
_cell_angle_beta 98.94
_cell_angle_gamma 90.00
_space_group_name_H-M_alt 'P 1'
_space_group_IT_number 1
_space_group_name_Hall 'P 1'
loop_
_atom_site_label
_atom_site_type_symbol
_atom_site_fract_x
_atom_site_fract_y
_atom_site_fract_z
_atom_site_occupancy
Cd1 Cd 0.000 0.000 0.000 1
Si1 Si 0.162 0.002 0.327 1
Te1 Te 0.843 0.004 0.693 1
Mo1 Mo 0.729 0.503 0.463 1
H1 H 0.272 0.504 0.549 1
W1 W 0.597 0.501 0.196 1
```

# CeDy2Tm3Se6
Computed powder X-ray diffraction pattern, CuKα. Input: a crystal structure in Alexandria, relaxed with GGA-PBE.
Intensities are scaled so that the largest is 100.

The 10 most intense peaks (2θ from 10° to 90°), in order of rising 2θ:
| index | 2θ (°) | I/Imax |
| --- | --- | --- |
| 3 1 0 | 26.99 | 11 |
| 1 1 -2 | 31.09 | 100 |
| 2 0 -4 | 44.15 | 13 |
| 7 1 -2 | 44.37 | 25 |
| 5 1 2 | 44.73 | 24 |
| 0 2 0 | 44.93 | 12 |
| 8 0 -4 | 54.68 | 7 |
| 6 2 0 | 55.65 | 13 |
| 2 2 -4 | 64.83 | 12 |
| 4 2 4 | 73.91 | 11 |

Structural model:
```
data_CeDy2Tm3Se6
_chemical_formula_sum 'Ce2 Dy4 Tm6 Se12'
_cell_length_a 17.779
_cell_length_b 4.035
_cell_length_c 8.206
_cell_angle_alpha 90.00
_cell_angle_beta 103.97
_cell_angle_gamma 90.00
_space_group_name_H-M_alt 'C 1 2/m 1'
_space_group_IT_number 12
_space_group_name_Hall '-C 2y'
loop_
_atom_site_label
_atom_site_type_symbol
_atom_site_fract_x
_atom_site_fract_y
_atom_site_fract_z
_atom_site_occupancy
Ce1 Ce 0.000 0.000 0.000 1
Dy1 Dy 0.164 0.500 0.328 1
Tm1 Tm 0.000 0.000 0.500 1
Tm2 Tm 0.164 0.500 0.834 1
Se1 Se 0.001 0.500 0.738 1
Se2 Se 0.167 0.000 0.587 1
Se3 Se 0.172 0.000 0.082 1
```

# Sr2Ca3Sn2
Computed powder X-ray diffraction pattern, CuKα. Input: a crystal structure in Alexandria, relaxed with GGA-PBE.
Intensities are scaled so that the largest is 100.

The 10 most intense peaks (2θ from 10° to 90°), in order of rising 2θ:
| index | 2θ (°) | I/Imax |
| --- | --- | --- |
| 0 0 2 | 21.10 | 48 |
| 1 1 -2 | 26.82 | 48 |
| 3 1 -1 | 28.06 | 53 |
| 3 1 0 | 29.07 | 100 |
| 4 0 0 | 30.38 | 51 |
| 1 1 2 | 30.82 | 62 |
| 3 1 -2 | 30.98 | 76 |
| 1 1 -3 | 35.21 | 48 |
| 0 2 0 | 36.38 | 57 |
| 0 0 5 | 54.48 | 48 |

Structural model:
```
data_Sr2Ca3Sn2
_chemical_formula_sum 'Sr4 Ca6 Sn4'
_cell_length_a 12.561
_cell_length_b 4.939
_cell_length_c 8.989
_cell_angle_alpha 90.00
_cell_angle_beta 110.50
_cell_angle_gamma 90.00
_space_group_name_H-M_alt 'C 1 2/m 1'
_space_group_IT_number 12
_space_group_name_Hall '-C 2y'
loop_
_atom_site_label
_atom_site_type_symbol
_atom_site_fract_x
_atom_site_fract_y
_atom_site_fract_z
_atom_site_occupancy
Sr1 Sr 0.148 0.000 0.305 1
Ca1 Ca 0.000 0.500 0.500 1
Ca2 Ca 0.133 0.500 0.935 1
Sn1 Sn 0.161 0.000 0.715 1
```

# Cs8As2H
Computed powder X-ray diffraction pattern, CuKα. Input: a crystal structure in Alexandria, relaxed with GGA-PBE.
Intensities are scaled so that the largest is 100.

The 10 most intense peaks (2θ from 10° to 90°), in order of rising 2θ:
| index | 2θ (°) | I/Imax |
| --- | --- | --- |
| 1 1 2 | 24.12 | 62 |
| 1 1 -2 | 24.19 | 100 |
| 1 -2 1 | 25.47 | 57 |
| 1 0 -3 | 28.93 | 23 |
| 1 2 2 | 29.22 | 17 |
| 0 3 -1 | 29.39 | 20 |
| 2 0 0 | 30.40 | 46 |
| 0 2 3 | 31.04 | 24 |
| 1 3 -1 | 33.18 | 24 |
| 1 4 2 | 44.40 | 19 |

Structural model:
```
data_Cs8As2H
_chemical_formula_sum 'Cs8 As2 H1'
_cell_length_a 5.881
_cell_length_b 9.494
_cell_length_c 10.877
_cell_angle_alpha 89.99
_cell_angle_beta 89.88
_cell_angle_gamma 89.85
_space_group_name_H-M_alt 'P -1'
_space_group_IT_number 2
_space_group_name_Hall '-P 1'
loop_
_atom_site_label
_atom_site_type_symbol
_atom_site_fract_x
_atom_site_fract_y
_atom_site_fract_z
_atom_site_occupancy
Cs1 Cs 0.238 0.209 0.228 1
Cs2 Cs 0.240 0.829 0.049 1
Cs3 Cs 0.242 0.410 0.761 1
Cs4 Cs 0.254 0.850 0.454 1
As1 As 0.250 0.033 0.756 1
H1 H 0.000 0.500 0.000 1
```

# CrCu2Ni
Computed powder X-ray diffraction pattern, CuKα. Input: a crystal structure in Alexandria, relaxed with GGA-PBE.
Intensities are scaled so that the largest is 100.

The 7 most intense peaks (2θ from 10° to 90°), in order of rising 2θ:
| index | 2θ (°) | I/Imax |
| --- | --- | --- |
| 1 0 1 | 27.32 | 1 |
| 1 1 2 | 43.02 | 100 |
| 2 0 0 | 49.80 | 32 |
| 0 0 4 | 50.67 | 15 |
| 2 2 0 | 73.09 | 9 |
| 2 0 4 | 73.79 | 18 |
| 3 1 2 | 88.74 | 21 |

Structural model:
```
data_CrCu2Ni
_chemical_formula_sum 'Cr2 Cu4 Ni2'
_cell_length_a 3.662
_cell_length_b 3.662
_cell_length_c 7.207
_cell_angle_alpha 90.00
_cell_angle_beta 90.00
_cell_angle_gamma 90.00
_space_group_name_H-M_alt 'I -4 m 2'
_space_group_IT_number 119
_space_group_name_Hall 'I -4 -2'
loop_
_atom_site_label
_atom_site_type_symbol
_atom_site_fract_x
_atom_site_fract_y
_atom_site_fract_z
_atom_site_occupancy
Cr1 Cr 0.000 0.000 0.000 1
Cu1 Cu 0.000 0.000 0.500 1
Cu2 Cu 0.000 0.500 0.250 1
Ni1 Ni 0.000 0.500 0.750 1
```